(1)
Diffraction record for Li4MnCo2O7. The powder X-ray diffraction pattern is simulated, not measured: it uses a crystal structure in Alexandria, relaxed with GGA+U and Cu Ka.

The 8 most intense peaks (5° ≤ 2θ ≤ 70°), sorted by position:
Position (°2θ), I/Imax
6.1, 20
18.6, 100
36.3, 12
36.7, 24
44.0, 25
44.3, 52
63.9, 20
64.5, 13

Structural model:
Cell lengths 14.575, 14.575, 5.829 Å; angles 96.31, 96.31, 11.28 degrees
Fractional coordinates of all 28 atoms:
Li (0.000, 0.000, 0.000)
Li (0.000, 0.000, 0.495)
Li (0.140, 0.140, 0.565)
Li (0.289, 0.289, 0.156)
Li (0.433, 0.433, 0.708)
Li (0.563, 0.563, 0.299)
Li (0.718, 0.718, 0.857)
Li (0.856, 0.856, 0.437)
Mn (0.140, 0.140, 0.066)
Mn (0.429, 0.429, 0.215)
Co (0.287, 0.287, 0.647)
Co (0.568, 0.568, 0.777)
Co (0.715, 0.715, 0.359)
Co (0.857, 0.857, 0.928)
O (0.071, 0.071, 0.561)
O (0.073, 0.073, 0.011)
O (0.207, 0.207, 0.112)
O (0.219, 0.219, 0.600)
O (0.354, 0.354, 0.704)
O (0.360, 0.360, 0.155)
O (0.493, 0.493, 0.240)
O (0.504, 0.504, 0.751)
O (0.638, 0.638, 0.839)
O (0.639, 0.639, 0.290)
O (0.787, 0.787, 0.421)
O (0.790, 0.790, 0.877)
O (0.924, 0.924, 0.979)
O (0.926, 0.926, 0.435)


(2)
Diffraction record for Li7Mn2Co3O12. The powder X-ray diffraction pattern is simulated, not measured: it uses a crystal structure in Alexandria, relaxed with GGA+U and Cu Ka.

The 8 most intense peaks (5° ≤ 2θ ≤ 70°), sorted by position:
Position (°2θ), I/Imax
7.7, 19
18.5, 100
36.3, 25
36.5, 13
43.8, 55
44.5, 26
64.1, 14
64.4, 14

Structural model:
Cell lengths 6.453, 6.453, 11.802 Å; angles 103.55, 103.55, 25.97 degrees
Fractional coordinates of all 24 atoms:
Li (0.000, 0.000, 0.000)
Li (0.000, 0.000, 0.489)
Li (0.338, 0.338, 0.841)
Li (0.344, 0.344, 0.315)
Li (0.658, 0.658, 0.153)
Li (0.664, 0.664, 0.676)
Li (0.996, 0.996, 0.236)
Mn (0.335, 0.335, 0.577)
Mn (0.660, 0.660, 0.403)
Co (0.003, 0.003, 0.752)
Co (0.336, 0.336, 0.081)
Co (0.669, 0.669, 0.916)
O (0.170, 0.170, 0.299)
O (0.171, 0.171, 0.804)
O (0.173, 0.173, 0.522)
O (0.176, 0.176, 0.027)
O (0.485, 0.485, 0.113)
O (0.489, 0.489, 0.621)
O (0.509, 0.509, 0.872)
O (0.512, 0.512, 0.371)
O (0.826, 0.826, 0.968)
O (0.828, 0.828, 0.461)
O (0.828, 0.828, 0.687)
O (0.829, 0.829, 0.185)